Record 1
Theoretical powder XRD pattern of ThPd3 for Cu Ka, from a structure optimized by DFT (GGA-PBE).
Lines closer than 0.1° are merged.

Structural model:
```
ThPd3
1.0
4.205 0.000 0.000
0.000 4.205 0.000
0.000 0.000 8.599
Th Pd
2 6
Direct
0.000 0.000 0.000
0.500 0.500 0.500
0.000 0.000 0.500
0.000 0.500 0.250
0.000 0.500 0.750
0.500 0.000 0.250
0.500 0.000 0.750
0.500 0.500 0.000
```

The 10 most intense peaks (10° ≤ 2θ ≤ 90°), sorted by position:
20.66°, intensity 4
23.55°, intensity 13
36.75°, intensity 100
42.03°, intensity 17
43.02°, intensity 32
61.71°, intensity 22
62.46°, intensity 11
73.33°, intensity 13
74.72°, intensity 26
78.16°, intensity 11

Record 2
Theoretical powder XRD pattern of ThTiPd6 for Cu Ka, from a structure optimized by DFT (GGA-PBE).
Lines closer than 0.1° are merged.

Structural model:
```
ThTiPd6
1.0
4.102 0.000 0.000
0.000 4.102 0.000
0.000 0.000 8.065
Th Ti Pd
1 1 6
Direct
0.000 0.000 0.000
0.000 0.000 0.500
0.000 0.500 0.267
0.000 0.500 0.733
0.500 0.000 0.267
0.500 0.000 0.733
0.500 0.500 0.000
0.500 0.500 0.500
```

The 10 most intense peaks (10° ≤ 2θ ≤ 90°), sorted by position:
24.34°, intensity 12
32.81°, intensity 9
38.22°, intensity 100
44.15°, intensity 34
44.96°, intensity 15
64.21°, intensity 11
64.84°, intensity 19
77.25°, intensity 25
78.42°, intensity 11
81.80°, intensity 10

Record 3
Theoretical powder XRD pattern of ThTlPd4 for Cu Ka, from a structure optimized by DFT (GGA-PBE).
Lines closer than 0.1° are merged.

Structural model:
```
ThTlPd4
1.0
5.811 0.000 0.000
0.000 5.772 0.000
-1.186 0.000 7.020
Th Tl Pd
2 2 8
Direct
0.098 0.250 0.303
0.902 0.750 0.697
0.468 0.250 0.719
0.532 0.750 0.281
0.048 0.750 0.302
0.247 0.501 0.985
0.247 0.999 0.985
0.389 0.750 0.652
0.611 0.250 0.348
0.753 0.001 0.015
0.753 0.499 0.015
0.952 0.250 0.698
```

The 10 most intense peaks (10° ≤ 2θ ≤ 90°), sorted by position:
23.96°, intensity 30
30.99°, intensity 38
33.58°, intensity 63
35.77°, intensity 84
37.05°, intensity 89
38.47°, intensity 59
40.46°, intensity 100
44.57°, intensity 53
44.93°, intensity 44
64.14°, intensity 35

Record 4
Theoretical powder XRD pattern of ThTlPd6 for Cu Ka, from a structure optimized by DFT (GGA-PBE).
Lines closer than 0.1° are merged.

Structural model:
```
ThTlPd6
1.0
4.183 0.000 0.000
0.000 4.183 0.000
0.000 0.000 8.210
Th Tl Pd
1 1 6
Direct
0.000 0.000 0.000
0.000 0.000 0.500
0.000 0.500 0.252
0.000 0.500 0.748
0.500 0.000 0.252
0.500 0.000 0.748
0.500 0.500 0.000
0.500 0.500 0.500
```

The 10 most intense peaks (10° ≤ 2θ ≤ 90°), sorted by position:
21.24°, intensity 7
30.51°, intensity 6
37.48°, intensity 100
43.26°, intensity 33
44.12°, intensity 16
62.84°, intensity 11
63.51°, intensity 21
75.52°, intensity 26
76.75°, intensity 12
79.96°, intensity 11

Record 5
Theoretical powder XRD pattern of Tm2ThPd for Cu Ka, from a structure optimized by DFT (GGA-PBE).
Lines closer than 0.1° are merged.

Structural model:
```
Tm2ThPd
1.0
3.528 0.000 0.000
0.000 3.528 0.000
0.000 0.000 8.306
Tm Th Pd
2 1 1
Direct
0.000 0.000 0.200
0.000 0.000 0.800
0.500 0.500 0.500
0.500 0.500 0.000
```

The 10 most intense peaks (10° ≤ 2θ ≤ 90°), sorted by position:
27.47°, intensity 21
32.34°, intensity 11
33.33°, intensity 100
36.00°, intensity 50
49.16°, intensity 14
51.83°, intensity 18
57.77°, intensity 11
61.72°, intensity 10
63.03°, intensity 32
84.74°, intensity 8

Record 6
Theoretical powder XRD pattern of Tm2ThPd7 for Cu Ka, from a structure optimized by DFT (GGA-PBE).
Lines closer than 0.1° are merged.

Structural model:
```
Tm2ThPd7
1.0
0.000 4.173 8.482
2.893 0.000 8.482
2.893 4.173 0.000
Tm Th Pd
2 1 7
Direct
0.173 0.173 0.827
0.827 0.827 0.173
0.500 0.500 0.500
0.000 0.000 0.000
0.086 0.086 0.414
0.250 0.250 0.250
0.414 0.414 0.086
0.586 0.586 0.914
0.750 0.750 0.750
0.914 0.914 0.586
```

The 10 most intense peaks (10° ≤ 2θ ≤ 90°), sorted by position:
24.46°, intensity 71
37.84°, intensity 100
38.46°, intensity 94
39.31°, intensity 23
43.36°, intensity 34
44.82°, intensity 61
64.13°, intensity 41
75.89°, intensity 13
77.59°, intensity 24
78.76°, intensity 22

Record 7
Theoretical powder XRD pattern of Y4ThPd15 for Cu Ka, from a structure optimized by DFT (GGA-PBE).
Lines closer than 0.1° are merged.

Structural model:
```
Y4ThPd15
1.0
4.154 0.000 0.000
0.000 4.154 0.000
0.000 0.000 20.721
Y Th Pd
4 1 15
Direct
0.000 0.000 0.100
0.000 0.000 0.297
0.000 0.000 0.703
0.000 0.000 0.900
0.000 0.000 0.500
0.000 0.500 0.000
0.000 0.500 0.199
0.000 0.500 0.399
0.000 0.500 0.601
0.000 0.500 0.801
0.500 0.000 0.000
0.500 0.000 0.199
0.500 0.000 0.399
0.500 0.000 0.601
0.500 0.000 0.801
0.500 0.500 0.099
0.500 0.500 0.299
0.500 0.500 0.500
0.500 0.500 0.701
0.500 0.500 0.901
```

The 10 most intense peaks (10° ≤ 2θ ≤ 90°), sorted by position:
12.82°, intensity 1
21.82°, intensity 1
23.07°, intensity 1
37.53°, intensity 100
43.58°, intensity 33
43.68°, intensity 16
63.39°, intensity 31
76.01°, intensity 25
76.15°, intensity 12
80.10°, intensity 11

Record 8
Theoretical powder XRD pattern of Th2ZnPd4 for Cu Ka, from a structure optimized by DFT (GGA-PBE).
Lines closer than 0.1° are merged.

Structural model:
```
Th2ZnPd4
1.0
4.966 0.000 0.000
1.948 4.648 0.000
0.852 2.170 6.814
Th Zn Pd
2 1 4
Direct
0.001 0.356 0.278
0.999 0.644 0.722
0.500 0.000 0.000
0.000 0.000 0.000
0.320 0.693 0.348
0.500 0.500 0.000
0.680 0.307 0.652
```

The 10 most intense peaks (10° ≤ 2θ ≤ 90°), sorted by position:
19.38°, intensity 54
20.05°, intensity 51
29.50°, intensity 57
32.64°, intensity 83
35.96°, intensity 51
37.89°, intensity 100
38.20°, intensity 67
38.75°, intensity 81
39.68°, intensity 60
41.31°, intensity 67

Record 9
Theoretical powder XRD pattern of Th2Zn5Pd5 for Cu Ka, from a structure optimized by DFT (GGA-PBE).
Lines closer than 0.1° are merged.

Structural model:
```
Th2Zn5Pd5
1.0
4.448 0.000 0.000
0.000 5.258 0.000
0.000 0.000 9.287
Th Zn Pd
2 5 5
Direct
0.000 0.000 0.000
0.000 0.500 0.500
0.500 0.000 0.500
0.500 0.250 0.249
0.500 0.250 0.751
0.500 0.750 0.249
0.500 0.750 0.751
0.000 0.000 0.334
0.000 0.000 0.666
0.000 0.500 0.178
0.000 0.500 0.822
0.500 0.500 0.000
```

The 10 most intense peaks (10° ≤ 2θ ≤ 90°), sorted by position:
19.96°, intensity 18
27.98°, intensity 33
33.60°, intensity 28
34.11°, intensity 17
39.39°, intensity 100
39.83°, intensity 35
40.56°, intensity 31
53.66°, intensity 15
64.60°, intensity 19
84.75°, intensity 17

Record 10
Theoretical powder XRD pattern of ThZn8Pd4 for Cu Ka, from a structure optimized by DFT (GGA-PBE).
Lines closer than 0.1° are merged.

Structural model:
```
ThZn8Pd4
1.0
-4.433 4.433 2.727
4.433 -4.433 2.727
4.433 4.433 -2.727
Th Zn Pd
1 8 4
Direct
0.000 0.000 0.000
0.000 0.352 0.352
0.000 0.648 0.648
0.283 0.500 0.783
0.352 0.000 0.352
0.500 0.283 0.783
0.500 0.717 0.217
0.648 0.000 0.648
0.717 0.500 0.217
0.000 0.000 0.500
0.000 0.500 0.000
0.500 0.000 0.000
0.500 0.500 0.500
```

The 10 most intense peaks (10° ≤ 2θ ≤ 90°), sorted by position:
27.82°, intensity 31
28.48°, intensity 19
34.52°, intensity 45
38.77°, intensity 100
40.23°, intensity 86
40.71°, intensity 62
44.01°, intensity 35
57.47°, intensity 23
63.66°, intensity 22
72.80°, intensity 26

Record 11
Theoretical powder XRD pattern of Th2ZnPd8 for Cu Ka, from a structure optimized by DFT (GGA-PBE).
Lines closer than 0.1° are merged.

Structural model:
```
Th2ZnPd8
1.0
-2.378 3.029 7.051
2.378 -3.029 7.051
2.378 3.029 -7.051
Th Zn Pd
2 1 8
Direct
0.182 0.182 0.000
0.818 0.818 0.000
0.500 0.500 0.000
0.108 0.365 0.742
0.258 0.000 0.258
0.319 0.819 0.500
0.377 0.635 0.742
0.623 0.365 0.258
0.681 0.181 0.500
0.742 0.000 0.742
0.892 0.635 0.258
```

The 10 most intense peaks (10° ≤ 2θ ≤ 90°), sorted by position:
23.96°, intensity 12
32.16°, intensity 16
37.06°, intensity 31
37.83°, intensity 35
38.30°, intensity 17
40.17°, intensity 100
54.92°, intensity 12
60.79°, intensity 12
69.89°, intensity 19
73.87°, intensity 14

Record 12
Theoretical powder XRD pattern of Th2Zn16Pd for Cu Ka, from a structure optimized by DFT (GGA-PBE).
Lines closer than 0.1° are merged.

Structural model:
```
Th2Zn16Pd
1.0
4.524 2.612 4.423
-4.524 2.612 4.423
0.000 -5.224 4.423
Th Zn Pd
2 16 1
Direct
0.000 0.000 0.000
0.325 0.325 0.325
0.013 0.013 0.506
0.013 0.506 0.013
0.163 0.665 0.665
0.312 0.312 0.824
0.312 0.824 0.312
0.377 0.665 0.953
0.377 0.953 0.665
0.506 0.013 0.013
0.563 0.563 0.563
0.665 0.163 0.665
0.665 0.377 0.953
0.665 0.665 0.163
0.665 0.953 0.377
0.824 0.312 0.312
0.953 0.377 0.665
0.953 0.665 0.377
0.766 0.766 0.766
```

The 10 most intense peaks (10° ≤ 2θ ≤ 90°), sorted by position:
28.22°, intensity 46
34.33°, intensity 49
35.46°, intensity 34
39.85°, intensity 71
40.09°, intensity 100
40.82°, intensity 55
41.08°, intensity 22
57.79°, intensity 29
58.36°, intensity 30
73.80°, intensity 22

Record 13
Theoretical powder XRD pattern of Th2Zn2Pd for Cu Ka, from a structure optimized by DFT (GGA-PBE).
Lines closer than 0.1° are merged.

Structural model:
```
Th2Zn2Pd
1.0
3.696 0.000 0.000
0.000 4.378 0.000
0.000 0.000 14.172
Th Zn Pd
4 4 2
Direct
0.000 0.000 0.000
0.000 0.000 0.246
0.000 0.500 0.500
0.000 0.500 0.746
0.500 0.000 0.626
0.500 0.000 0.820
0.500 0.500 0.126
0.500 0.500 0.320
0.500 0.000 0.428
0.500 0.500 0.928
```

The 10 most intense peaks (10° ≤ 2θ ≤ 90°), sorted by position:
21.24°, intensity 24
25.13°, intensity 26
32.32°, intensity 100
35.09°, intensity 61
37.09°, intensity 50
37.81°, intensity 55
41.24°, intensity 31
49.32°, intensity 18
55.23°, intensity 34
63.77°, intensity 24